(1)
The following is a calculated powder diffractogram of K3HgSb. It was derived from the PBE geometry in Alexandria, using CuKα.
Peak positions follow from Bragg's law for the DFT cell and can differ from measured ones.

Atomic structure:
Cell: 8.1154 9.1092 11.4952 Å, 90.00 92.92 90.00°
Positions (direct):
K 0.1655 0.1798 0.3899
K 0.1655 0.3202 0.8899
K 0.2104 0.5222 0.6061
K 0.2104 0.9778 0.1061
K 0.2598 0.5315 0.1633
K 0.2598 0.9685 0.6633
K 0.7402 0.0315 0.3367
K 0.7402 0.4685 0.8367
K 0.7896 0.0222 0.8939
K 0.7896 0.4778 0.3939
K 0.8345 0.6798 0.1101
K 0.8345 0.8202 0.6101
Hg 0.4548 0.7462 0.9263
Hg 0.4548 0.7538 0.4263
Hg 0.5452 0.2462 0.5737
Hg 0.5452 0.2538 0.0737
Sb 0.1026 0.7198 0.8694
Sb 0.1026 0.7802 0.3694
Sb 0.8974 0.2198 0.6306
Sb 0.8974 0.2802 0.1306

Largest 10 diffraction maxima, by angle, 2θ from 15° to 90°:
| d_spacing | Rel. int. |
| --- | --- |
| 4.856 | 100 |
| 4.801 | 34 |
| 4.555 | 57 |
| 3.304 | 84 |
| 3.048 | 48 |
| 3.028 | 42 |
| 2.684 | 37 |
| 2.633 | 40 |
| 2.590 | 25 |
| 2.494 | 28 |



(2)
The following is a calculated powder diffractogram of K3Hg8Sb3. It was derived from the PBE geometry in Alexandria, using CuKα.
Peak positions follow from Bragg's law for the DFT cell and can differ from measured ones.

Atomic structure:
Cell: 9.6106 9.6106 10.3048 Å, 121.00 121.00 31.81°
Positions (direct):
K 0.0000 0.0000 0.0000
K 0.2954 0.2954 0.2928
K 0.7046 0.7046 0.7072
Hg 0.1426 0.1426 0.8604
Hg 0.1567 0.1567 0.4436
Hg 0.3456 0.3456 0.9888
Hg 0.4958 0.4958 0.3202
Hg 0.5042 0.5042 0.6798
Hg 0.6544 0.6544 0.0112
Hg 0.8433 0.8433 0.5564
Hg 0.8574 0.8574 0.1396
Sb 0.0000 0.0000 0.5000
Sb 0.3511 0.3511 0.7125
Sb 0.6489 0.6489 0.2875

Largest 10 diffraction maxima, by angle, 2θ from 15° to 90°:
| d_spacing | Rel. int. |
| --- | --- |
| 5.151 | 83 |
| 3.033 | 66 |
| 3.017 | 43 |
| 2.980 | 79 |
| 2.718 | 47 |
| 2.633 | 100 |
| 2.602 | 67 |
| 2.340 | 55 |
| 2.291 | 58 |
| 1.851 | 49 |



(3)
The following is a calculated powder diffractogram of K2HgSb. It was derived from the PBE geometry in Alexandria, using CuKα.
Peak positions follow from Bragg's law for the DFT cell and can differ from measured ones.

Atomic structure:
Cell: 3.9966 5.8828 12.2846 Å, 90.00 90.00 90.00°
Positions (direct):
K 0.0000 0.0000 0.0000
K 0.0000 0.5000 0.2006
K 0.5000 0.0000 0.7006
K 0.5000 0.5000 0.5000
Hg 0.0000 0.0000 0.4526
Hg 0.5000 0.5000 0.9526
Sb 0.0000 0.5000 0.7628
Sb 0.5000 0.0000 0.2628

Largest 10 diffraction maxima, by angle, 2θ from 15° to 90°:
| d_spacing | Rel. int. |
| --- | --- |
| 5.306 | 71 |
| 3.071 | 19 |
| 2.941 | 29 |
| 2.911 | 100 |
| 2.860 | 28 |
| 2.267 | 18 |
| 2.250 | 12 |
| 2.124 | 13 |
| 2.050 | 26 |
| 1.692 | 20 |



(4)
The following is a calculated powder diffractogram of K2HgSb. It was derived from the PBE geometry in Alexandria, using CuKα.
Peak positions follow from Bragg's law for the DFT cell and can differ from measured ones.

Atomic structure:
Cell: 6.7826 4.9436 9.9552 Å, 90.00 105.75 90.00°
Positions (direct):
K 0.2104 0.2500 0.4261
K 0.2822 0.7500 0.0714
K 0.7178 0.2500 0.9286
K 0.7896 0.7500 0.5739
Hg 0.3389 0.7500 0.7125
Hg 0.6611 0.2500 0.2875
Sb 0.1601 0.2500 0.7842
Sb 0.8399 0.7500 0.2158

Largest 10 diffraction maxima, by angle, 2θ from 15° to 90°:
| d_spacing | Rel. int. |
| --- | --- |
| 4.820 | 95 |
| 4.791 | 84 |
| 3.875 | 39 |
| 3.445 | 100 |
| 2.724 | 79 |
| 2.708 | 84 |
| 2.639 | 88 |
| 2.603 | 53 |
| 2.472 | 50 |
| 2.198 | 50 |



(5)
The following is a calculated powder diffractogram of K3Hg7Sb. It was derived from the PBE geometry in Alexandria, using CuKα.
Peak positions follow from Bragg's law for the DFT cell and can differ from measured ones.

Atomic structure:
Cell: 11.8184 11.8184 11.7936 Å, 90.00 90.00 153.87°
Positions (direct):
K 0.1070 0.8930 0.5564
K 0.1070 0.8930 0.9436
K 0.1939 0.8061 0.2500
K 0.8061 0.1939 0.7500
K 0.8930 0.1070 0.0564
K 0.8930 0.1070 0.4436
Hg 0.2806 0.7194 0.0010
Hg 0.2806 0.7194 0.4990
Hg 0.3464 0.6536 0.2500
Hg 0.3947 0.6053 0.6228
Hg 0.3947 0.6053 0.8772
Hg 0.4729 0.5271 0.1218
Hg 0.4729 0.5271 0.3782
Hg 0.5271 0.4729 0.6218
Hg 0.5271 0.4729 0.8782
Hg 0.6053 0.3947 0.1228
Hg 0.6053 0.3947 0.3772
Hg 0.6536 0.3464 0.7500
Hg 0.7194 0.2806 0.5010
Hg 0.7194 0.2806 0.9990
Sb 0.0375 0.9625 0.2500
Sb 0.9625 0.0375 0.7500

Largest 10 diffraction maxima, by angle, 2θ from 15° to 90°:
| d_spacing | Rel. int. |
| --- | --- |
| 5.248 | 25 |
| 5.205 | 100 |
| 3.002 | 23 |
| 2.856 | 34 |
| 2.725 | 56 |
| 2.671 | 55 |
| 2.565 | 32 |
| 2.530 | 25 |
| 2.447 | 27 |
| 1.951 | 27 |



(6)
The following is a calculated powder diffractogram of K2HgSbTe4. It was derived from the PBE geometry in Alexandria, using CuKα.
Peak positions follow from Bragg's law for the DFT cell and can differ from measured ones.

Atomic structure:
Cell: 9.3192 9.3192 8.8464 Å, 115.62 115.62 93.61°
Positions (direct):
K 0.0000 0.0000 0.0000
K 0.0000 0.0000 0.5000
K 0.0000 0.5000 0.0000
K 0.5000 0.0000 0.5000
Hg 0.0000 0.5000 0.5000
Hg 0.5000 0.0000 0.0000
Sb 0.5000 0.5000 0.0000
Sb 0.5000 0.5000 0.5000
Te 0.2362 0.6975 0.4993
Te 0.2859 0.2864 0.0526
Te 0.2864 0.2859 0.5526
Te 0.3025 0.7638 0.0007
Te 0.6975 0.2362 0.9993
Te 0.7136 0.7141 0.4474
Te 0.7141 0.7136 0.9474
Te 0.7638 0.3025 0.5007

Largest 10 diffraction maxima, by angle, 2θ from 15° to 90°:
| d_spacing | Rel. int. |
| --- | --- |
| 4.244 | 19 |
| 3.429 | 97 |
| 3.397 | 100 |
| 3.168 | 73 |
| 2.473 | 29 |
| 2.413 | 70 |
| 2.317 | 58 |
| 2.205 | 26 |
| 1.999 | 30 |
| 1.849 | 28 |



(7)
The following is a calculated powder diffractogram of K3Hg2Se4. It was derived from the PBE geometry in Alexandria, using CuKα.
Peak positions follow from Bragg's law for the DFT cell and can differ from measured ones.

Atomic structure:
Cell: 7.5336 7.5336 10.0955 Å, 116.30 116.30 33.19°
Positions (direct):
K 0.0000 0.0000 0.0000
K 0.3857 0.3857 0.2938
K 0.6143 0.6143 0.7062
Hg 0.3288 0.3288 0.6793
Hg 0.6712 0.6712 0.3207
Se 0.1023 0.1023 0.4135
Se 0.2983 0.2983 0.9127
Se 0.7017 0.7017 0.0873
Se 0.8977 0.8977 0.5865

Largest 10 diffraction maxima, by angle, 2θ from 15° to 90°:
| d_spacing | Rel. int. |
| --- | --- |
| 4.343 | 53 |
| 3.937 | 57 |
| 3.522 | 38 |
| 3.205 | 36 |
| 3.030 | 100 |
| 2.984 | 37 |
| 2.651 | 52 |
| 2.594 | 95 |
| 2.152 | 44 |
| 2.021 | 35 |



(8)
The following is a calculated powder diffractogram of K6HgSe4. It was derived from the PBE geometry in Alexandria, using CuKα.
Peak positions follow from Bragg's law for the DFT cell and can differ from measured ones.

Atomic structure:
Cell: 10.4906 10.4906 8.0086 Å, 90.00 90.00 120.00°
Positions (direct):
K 0.0550 0.5275 0.0000
K 0.1492 0.2984 0.3282
K 0.1492 0.8508 0.3282
K 0.2984 0.1492 0.8282
K 0.4725 0.5275 0.0000
K 0.4725 0.9450 0.0000
K 0.5275 0.0550 0.5000
K 0.5275 0.4725 0.5000
K 0.7016 0.8508 0.3282
K 0.8508 0.1492 0.8282
K 0.8508 0.7016 0.8282
K 0.9450 0.4725 0.5000
Hg 0.3333 0.6667 0.6235
Hg 0.6667 0.3333 0.1235
Se 0.1889 0.3777 0.7271
Se 0.1889 0.8111 0.7271
Se 0.3333 0.6667 0.2765
Se 0.3777 0.1889 0.2271
Se 0.6223 0.8111 0.7271
Se 0.6667 0.3333 0.7765
Se 0.8111 0.1889 0.2271
Se 0.8111 0.6223 0.2271

Largest 10 diffraction maxima, by angle, 2θ from 15° to 90°:
| d_spacing | Rel. int. |
| --- | --- |
| 5.245 | 26 |
| 4.543 | 38 |
| 3.183 | 27 |
| 3.156 | 71 |
| 3.004 | 59 |
| 2.623 | 100 |
| 2.561 | 31 |
| 2.302 | 40 |
| 2.108 | 28 |
| 1.832 | 22 |